[1]
Diffraction record for InCl2. The X-ray diffraction stick pattern is theoretical, not measured: it uses a cell relaxed with GGA-PBE and λ = 1.5418 Å (Cu Kα).
No peak broadening, texture or thermal motion is included.

Cell: 13.2102 3.5853 7.2624 Å, 90.00 90.04 90.00°
Space group Cm (No. 8)
Symmetry-distinct sites (fractional):
In: 0.0000 0.0000 0.0000 (multiplicity 2)
In: 0.2442 0.5000 0.5239 (multiplicity 2)
Cl: 0.1021 0.0000 0.4650 (multiplicity 2)
Cl: 0.1466 0.5000 0.8649 (multiplicity 2)
Cl: 0.3207 0.0000 0.2807 (multiplicity 2)
Cl: 0.3487 0.0000 0.7150 (multiplicity 2)

Largest 6 diffraction maxima, in order of rising 2θ, 2θ from 15° to 90°:
Position (°2θ)  intensity  h k l
18.16  100  2 0 1
32.20  33  3 1 0
34.55  33  3 1 1
35.85  37  1 1 2
36.78  21  4 0 -2
44.38  22  5 1 -1

[2]
Diffraction record for Nd4Se2S. The X-ray diffraction stick pattern is theoretical, not measured: it uses a cell relaxed with GGA-PBE and λ = 1.5418 Å (Cu Kα).
No peak broadening, texture or thermal motion is included.

Cell: 4.0866 7.0650 7.9907 Å, 115.70 104.76 90.03°
Space group P-1 (No. 2)
Symmetry-distinct sites (fractional):
Nd: 0.1178 0.4459 0.2343 (multiplicity 2)
Nd: 0.3809 0.0405 0.7608 (multiplicity 2)
Se: 0.2555 0.2579 0.5118 (multiplicity 2)
S: 0.0000 0.0000 0.0000 (multiplicity 1)

Largest 6 diffraction maxima, in order of rising 2θ, 2θ from 15° to 90°:
Position (°2θ)  intensity  h k l
28.29  100  1 1 0
28.40  25  1 1 -2
28.49  43  0 2 -2
36.24  33  0 2 1
36.45  34  1 1 -3
44.38  54  2 0 -1

[3]
Diffraction record for InAsIO4. The X-ray diffraction stick pattern is theoretical, not measured: it uses a cell relaxed with GGA-PBE and λ = 1.5418 Å (Cu Kα).
No peak broadening, texture or thermal motion is included.

Cell: 11.8165 6.2692 6.4571 Å, 90.00 102.74 90.00°
Space group C2/m (No. 12)
Symmetry-distinct sites (fractional):
In: 0.1964 0.0000 0.3356 (multiplicity 4)
As: 0.1350 0.0000 0.7706 (multiplicity 4)
I: 0.0380 0.5000 0.2102 (multiplicity 4)
O: 0.0082 0.0000 0.2368 (multiplicity 4)
O: 0.1767 0.2076 0.6165 (multiplicity 8)
O: 0.2194 0.0000 0.0218 (multiplicity 4)

Largest 6 diffraction maxima, in order of rising 2θ, 2θ from 15° to 90°:
Position (°2θ)  intensity  h k l
27.22  100  3 1 0
28.30  71  0 0 2
28.47  70  0 2 0
33.11  33  3 1 1
40.61  30  0 2 2
55.22  23  6 2 -1

[4]
Diffraction record for Sc2B2Ir5W. The X-ray diffraction stick pattern is theoretical, not measured: it uses a cell relaxed with GGA-PBE and λ = 1.5418 Å (Cu Kα).
No peak broadening, texture or thermal motion is included.

Cell: 9.3657 9.3657 3.2115 Å, 90.00 90.00 90.00°
Space group P4/mbm (No. 127)
Symmetry-distinct sites (fractional):
Sc: 0.1769 0.3231 0.0000 (multiplicity 4)
B: 0.1196 0.6196 0.0000 (multiplicity 4)
Ir: 0.0000 0.5000 0.5000 (multiplicity 2)
Ir: 0.0718 0.7792 0.5000 (multiplicity 8)
W: 0.0000 0.0000 0.0000 (multiplicity 2)

Largest 6 diffraction maxima, in order of rising 2θ, 2θ from 15° to 90°:
Position (°2θ)  intensity  h k l
27.78  46  0 0 1
39.68  51  4 1 0
41.47  100  3 1 1
43.20  54  4 2 0
44.88  40  3 2 1
78.04  39  7 1 1

[5]
Diffraction record for PaS2. The X-ray diffraction stick pattern is theoretical, not measured: it uses a cell relaxed with GGA-PBE and λ = 1.5418 Å (Cu Kα).
No peak broadening, texture or thermal motion is included.

Cell: 4.0734 4.0734 12.8436 Å, 90.00 90.00 120.00°
Space group P6_3mc (No. 186)
Symmetry-distinct sites (fractional):
Pa: 0.3333 0.6667 0.0000 (multiplicity 2)
S: 0.0000 0.0000 0.1074 (multiplicity 2)
S: 0.3333 0.6667 0.3922 (multiplicity 2)

Largest 6 diffraction maxima, in order of rising 2θ, 2θ from 15° to 90°:
Position (°2θ)  intensity  h k l
26.20  100  1 0 1
28.88  38  1 0 2
32.90  83  1 0 3
43.59  44  1 0 5
44.48  35  1 1 0
46.79  41  1 1 2

[6]
Diffraction record for Tb12CeSc2. The X-ray diffraction stick pattern is theoretical, not measured: it uses a cell relaxed with GGA-PBE and λ = 1.5418 Å (Cu Kα).
No peak broadening, texture or thermal motion is included.

Cell: 7.1530 11.2490 23.4219 Å, 90.00 94.46 90.00°
Space group C2/m (No. 12)
Symmetry-distinct sites (fractional):
Tb: 0.0167 0.2413 0.0682 (multiplicity 8)
Tb: 0.0364 0.5000 0.1497 (multiplicity 4)
Tb: 0.0374 0.0000 0.1561 (multiplicity 4)
Tb: 0.0794 0.2488 0.3211 (multiplicity 8)
Tb: 0.1050 0.0000 0.4224 (multiplicity 4)
Tb: 0.1059 0.5000 0.4217 (multiplicity 4)
Tb: 0.1395 0.2504 0.5578 (multiplicity 8)
Tb: 0.2015 0.2502 0.8037 (multiplicity 8)
Ce: 0.1928 0.5000 0.0000 (multiplicity 4)
Sc: 0.1778 0.5000 0.7140 (multiplicity 4)
Sc: 0.1819 0.0000 0.7141 (multiplicity 4)

Largest 6 diffraction maxima, in order of rising 2θ, 2θ from 15° to 90°:
Position (°2θ)  intensity  h k l
30.35  22  2 0 4
31.17  36  0 2 7
31.82  54  0 4 0
32.56  100  2 2 3
34.37  40  2 2 -5
34.62  25  0 2 8

[7]
Diffraction record for In4GaHg15. The X-ray diffraction stick pattern is theoretical, not measured: it uses a cell relaxed with GGA-PBE and λ = 1.5418 Å (Cu Kα).
No peak broadening, texture or thermal motion is included.

Cell: 6.8342 7.6352 20.1188 Å, 90.00 90.00 90.00°
Space group Cmmm (No. 65)
Symmetry-distinct sites (fractional):
In: 0.0000 0.0000 0.1020 (multiplicity 4)
In: 0.0000 0.0000 0.3055 (multiplicity 4)
Ga: 0.0000 0.0000 0.5000 (multiplicity 2)
Hg: 0.0000 0.5000 0.1013 (multiplicity 4)
Hg: 0.0000 0.5000 0.3040 (multiplicity 4)
Hg: 0.0000 0.5000 0.5000 (multiplicity 2)
Hg: 0.2500 0.2500 0.0000 (multiplicity 4)
Hg: 0.2500 0.2500 0.2029 (multiplicity 8)
Hg: 0.2500 0.2500 0.4057 (multiplicity 8)

Largest 6 diffraction maxima, in order of rising 2θ, 2θ from 15° to 90°:
Position (°2θ)  intensity  h k l
32.33  100  0 2 5
34.43  85  2 0 5
35.25  81  2 2 0
58.47  36  2 2 10
60.10  35  2 4 5
64.03  29  4 2 5

[8]
Diffraction record for Cu2BF8. The X-ray diffraction stick pattern is theoretical, not measured: it uses a cell relaxed with GGA-PBE and λ = 1.5418 Å (Cu Kα).
No peak broadening, texture or thermal motion is included.

Cell: 16.4943 4.7110 3.7384 Å, 90.00 92.55 90.00°
Space group C2/m (No. 12)
Symmetry-distinct sites (fractional):
Cu: 0.1765 0.0000 0.4875 (multiplicity 4)
B: 0.0000 0.0000 0.5000 (multiplicity 2)
F: 0.0631 0.2230 0.4750 (multiplicity 8)
F: 0.1716 0.0000 0.9868 (multiplicity 4)
F: 0.2115 0.5000 0.4919 (multiplicity 4)

Largest 6 diffraction maxima, in order of rising 2θ, 2θ from 15° to 90°:
Position (°2θ)  intensity  h k l
19.60  54  1 1 0
23.83  100  0 0 1
24.90  62  3 1 0
39.80  32  2 2 0
48.77  22  0 0 2
51.08  21  6 2 0